Simulated powder X-ray diffraction pattern of Sr2CePaAs4 for Cu Kα (λ = 1.5418 Å), from a crystal structure in Alexandria, relaxed with PBE.

Structure:
```
data_Sr2CePaAs4
_space_group_name_H-M_alt 'P 1 2/m 1'
_space_group_IT_number 10
_space_group_name_Hall '-P 2y'
_cell_length_a 7.4579
_cell_length_b 4.3072
_cell_length_c 7.5385
_cell_angle_alpha 90.00
_cell_angle_beta 109.18
_cell_angle_gamma 90.00
loop_
_atom_site_label
_atom_site_fract_x
_atom_site_fract_y
_atom_site_fract_z
Sr1 0.0000 0.0000 0.0000
Sr2 0.5000 0.5000 0.0000
Ce1 0.0000 0.5000 0.5000
Pa1 0.5000 0.0000 0.5000
As1 0.2511 0.0000 0.7204
As2 0.2699 0.5000 0.2821
```

Main lines, sorted by position (5 to 70 degrees two-theta):
2θ 12.43, rel. 20.4
2θ 24.21, rel. 7.2
2θ 25.29, rel. 11.0
2θ 29.21, rel. 100.0
2θ 38.10, rel. 7.3
2θ 41.60, rel. 35.6
2θ 41.96, rel. 38.1
2θ 43.93, rel. 6.2
2θ 51.94, rel. 19.9
2θ 60.56, rel. 11.6
2θ 68.38, rel. 14.4
2θ 68.89, rel. 16.9